Pm3In3Ni2: theoretical powder XRD pattern (Cu Kα X-rays), based on a PBE-relaxed structure.
Neutral-atom scattering factors, no anomalous dispersion.

Main lines, in order of falling intensity (10 to 80 degrees two-theta):
d/Å	I_rel
2.880	100
2.286	39
2.786	37
2.464	33
2.279	24
2.639	21
2.744	21
1.430	16
2.358	15
2.194	13

Structural model:
Cell: 5.744 5.744 15.850 Å, 90.00 90.00 133.10°
Fractional coordinates of all 16 atoms:
Pm (0.064, 0.936, 0.611)
Pm (0.064, 0.936, 0.889)
Pm (0.349, 0.651, 0.750)
Pm (0.651, 0.349, 0.250)
Pm (0.936, 0.064, 0.111)
Pm (0.936, 0.064, 0.389)
In (0.353, 0.647, 0.250)
In (0.356, 0.644, 0.536)
In (0.356, 0.644, 0.964)
In (0.644, 0.356, 0.036)
In (0.644, 0.356, 0.464)
In (0.647, 0.353, 0.750)
Ni (0.211, 0.789, 0.111)
Ni (0.211, 0.789, 0.389)
Ni (0.789, 0.211, 0.611)
Ni (0.789, 0.211, 0.889)

=====

AcLa5Sm5: theoretical powder XRD pattern (Cu Kα X-rays), based on a PBE-relaxed structure.
Neutral-atom scattering factors, no anomalous dispersion.

Main lines, in order of falling intensity (10 to 80 degrees two-theta):
d/Å	I_rel
3.205	100
3.182	86
1.842	41
2.498	35
3.073	34
2.476	28
1.591	28
2.604	25
2.684	23
1.425	20

Structural model:
Cell: 6.365 6.365 11.820 Å, 90.00 90.00 120.00°
Fractional coordinates of all 11 atoms:
Ac (0.000, 0.000, 0.000)
La (0.000, 0.000, 0.330)
La (0.000, 0.000, 0.670)
La (0.333, 0.667, 0.160)
La (0.333, 0.667, 0.840)
La (0.667, 0.333, 0.000)
Sm (0.002, 0.501, 0.500)
Sm (0.499, 0.501, 0.500)
Sm (0.499, 0.998, 0.500)
Sm (0.667, 0.333, 0.266)
Sm (0.667, 0.333, 0.734)